The following is a computed powder X-ray diffraction pattern of CuAg. It was derived from a DFT-relaxed cell (PBE, OQMD), using Cu Ka.
Lines closer than 0.1° are merged.

Top 10 peaks for 2θ = 10–90°, in order of falling intensity:
2θ 40.2, I = 100
2θ 45.9, I = 46
2θ 37.4, I = 27
2θ 81.1, I = 23
2θ 67.0, I = 14
2θ 64.9, I = 13
2θ 43.2, I = 12
2θ 83.1, I = 8
2θ 79.0, I = 8
2θ 43.3, I = 7

Structural model:
a = 2.7946 Å, b = 2.7946 Å, c = 18.8382 Å
α = 90.00°, β = 90.00°, γ = 90.00°
Element x y z (fractional)
Cu (0.0000, 0.0000, 0.0000)
Cu (0.0000, 0.0000, 0.1641)
Cu (0.0000, 0.0000, 0.5992)
Cu (0.5000, 0.5000, 0.0819)
Cu (0.5000, 0.5000, 0.9178)
Ag (0.0000, 0.0000, 0.3819)
Ag (0.0000, 0.0000, 0.8170)
Ag (0.5000, 0.5000, 0.2648)
Ag (0.5000, 0.5000, 0.4993)
Ag (0.5000, 0.5000, 0.6996)

***

The following is a computed powder X-ray diffraction pattern of InCuMoAu. It was derived from a DFT-relaxed cell (PBE, OQMD), using Cu Ka.
Lines closer than 0.1° are merged.

Top 10 peaks for 2θ = 10–90°, in order of falling intensity:
2θ 39.2, I = 100
2θ 71.0, I = 34
2θ 23.7, I = 17
2θ 56.6, I = 17
2θ 84.2, I = 11
2θ 46.3, I = 9
2θ 62.2, I = 4
2θ 89.1, I = 4
2θ 76.1, I = 3
2θ 27.4, I = 1

Structural model:
a = 4.5975 Å, b = 4.5975 Å, c = 4.5975 Å
α = 60.00°, β = 60.00°, γ = 60.00°
Element x y z (fractional)
In (0.0000, 0.0000, 0.0000)
Cu (0.2500, 0.2500, 0.2500)
Mo (0.5000, 0.5000, 0.5000)
Au (0.7500, 0.7500, 0.7500)

***

The following is a computed powder X-ray diffraction pattern of Nb4BiN3. It was derived from a DFT-relaxed cell (PBE, OQMD), using Cu Ka.
Lines closer than 0.1° are merged.

Top 10 peaks for 2θ = 10–90°, in order of falling intensity:
2θ 36.9, I = 100
2θ 39.0, I = 69
2θ 35.0, I = 64
2θ 31.8, I = 59
2θ 56.2, I = 47
2θ 69.6, I = 38
2θ 37.6, I = 38
2θ 53.1, I = 25
2θ 46.9, I = 16
2θ 69.1, I = 16

Structural model:
a = 3.2728 Å, b = 3.2728 Å, c = 23.9057 Å
α = 90.00°, β = 90.00°, γ = 120.00°
Element x y z (fractional)
Nb (0.0000, 0.0000, 0.1470)
Nb (0.0000, 0.0000, 0.3530)
Nb (0.0000, 0.0000, 0.6470)
Nb (0.0000, 0.0000, 0.8530)
Nb (0.3333, 0.6667, 0.0547)
Nb (0.3333, 0.6667, 0.4453)
Nb (0.6667, 0.3333, 0.5547)
Nb (0.6667, 0.3333, 0.9453)
Bi (0.3333, 0.6667, 0.2500)
Bi (0.6667, 0.3333, 0.7500)
N (0.0000, 0.0000, 0.0000)
N (0.0000, 0.0000, 0.5000)
N (0.3333, 0.6667, 0.6058)
N (0.3333, 0.6667, 0.8942)
N (0.6667, 0.3333, 0.1058)
N (0.6667, 0.3333, 0.3942)

***

The following is a computed powder X-ray diffraction pattern of Nd2Ga3Si. It was derived from a DFT-relaxed cell (PBE, OQMD), using Cu Ka.
Lines closer than 0.1° are merged.

Top 10 peaks for 2θ = 10–90°, in order of falling intensity:
2θ 32.3, I = 100
2θ 43.0, I = 38
2θ 61.9, I = 25
2θ 54.7, I = 22
2θ 72.0, I = 19
2θ 24.4, I = 16
2θ 42.3, I = 13
2θ 71.0, I = 10
2θ 78.7, I = 6
2θ 86.7, I = 6

Structural model:
a = 8.4512 Å, b = 8.4204 Å, c = 6.0020 Å
α = 69.44°, β = 68.89°, γ = 41.68°
Element x y z (fractional)
Nd (0.2469, 0.7531, 0.2469)
Nd (0.2500, 0.2500, 0.2500)
Nd (0.7500, 0.7500, 0.7500)
Nd (0.7531, 0.2469, 0.7531)
Ga (0.1648, 0.6669, 0.8352)
Ga (0.3323, 0.3323, 0.6677)
Ga (0.3331, 0.8352, 0.6669)
Ga (0.6669, 0.1648, 0.3331)
Ga (0.6677, 0.6677, 0.3323)
Ga (0.8352, 0.3331, 0.1648)
Si (0.1669, 0.1669, 0.8331)
Si (0.8331, 0.8331, 0.1669)

***

Copy entry 2 word for word.
The following is a computed powder X-ray diffraction pattern of InCuMoAu. It was derived from a DFT-relaxed cell (PBE, OQMD), using Cu Ka.
Lines closer than 0.1° are merged.

Top 10 peaks for 2θ = 10–90°, in order of falling intensity:
2θ 39.2, I = 100
2θ 71.0, I = 34
2θ 23.7, I = 17
2θ 56.6, I = 17
2θ 84.2, I = 11
2θ 46.3, I = 9
2θ 62.2, I = 4
2θ 89.1, I = 4
2θ 76.1, I = 3
2θ 27.4, I = 1

Structural model:
a = 4.5975 Å, b = 4.5975 Å, c = 4.5975 Å
α = 60.00°, β = 60.00°, γ = 60.00°
Element x y z (fractional)
In (0.0000, 0.0000, 0.0000)
Cu (0.2500, 0.2500, 0.2500)
Mo (0.5000, 0.5000, 0.5000)
Au (0.7500, 0.7500, 0.7500)